[1]
Theoretical powder XRD pattern
Compound: DyCoC6N6
Radiation: Cu Kα (λ = 1.5418 Å)
Structure: a structure optimized by DFT (GGA-PBE)

Top 12 peaks for 5° ≤ 2θ ≤ 70°, by angle:
2θ 15.5, intensity 100, hkl 1 0 1; 2θ 19.5, intensity 53, hkl 1 0 2; 2θ 24.2, intensity 22, hkl 1 1 0; 2θ 24.9, intensity 13, hkl 1 0 3; 2θ 27.9, intensity 8, hkl 1 1 2; 2θ 31.3, intensity 12, hkl 2 0 2; 2θ 35.0, intensity 20, hkl 2 0 3; 2θ 37.0, intensity 24, hkl 1 1 4; 2θ 38.0, intensity 18, hkl 2 1 1; 2θ 39.9, intensity 10, hkl 2 1 2; 2θ 45.1, intensity 7, hkl 2 0 5; 2θ 51.4, intensity 14, hkl 3 0 4

Structural model:
```
data_DyCoC6N6
_symmetry_space_group_name_H-M 'P 63/m m c'
_symmetry_Int_Tables_number 194
_symmetry_space_group_name_Hall '-P 6c 2c'
_cell_length_a 7.3595
_cell_length_b 7.3595
_cell_length_c 12.9600
_cell_angle_alpha 90.00
_cell_angle_beta 90.00
_cell_angle_gamma 120.00
loop_
_atom_site_label
_atom_site_type_symbol
_atom_site_fract_x
_atom_site_fract_y
_atom_site_fract_z
Dy1 Dy 0.3333 0.6667 0.2500
Co1 Co 0.0000 0.0000 0.0000
C1 C 0.1178 0.2356 0.0833
N1 N 0.1918 0.3836 0.1367
```

=====

[2]
Theoretical powder XRD pattern
Compound: Cu2GeBi
Radiation: Cu Kα (λ = 1.5418 Å)
Structure: a structure optimized by DFT (GGA-PBE)

Top 12 peaks for 5° ≤ 2θ ≤ 70°, by angle:
2θ 13.3, intensity 4, hkl 1 0 0; 2θ 23.2, intensity 7, hkl 1 1 1; 2θ 26.8, intensity 19, hkl 2 0 0; 2θ 30.0, intensity 21, hkl 2 1 0; 2θ 38.3, intensity 100, hkl 2 2 0; 2θ 40.7, intensity 8, hkl 3 0 0; 2θ 47.3, intensity 8, hkl 2 2 2; 2θ 55.2, intensity 15, hkl 4 0 0; 2θ 57.1, intensity 8, hkl 3 2 2; 2θ 62.4, intensity 13, hkl 4 2 0; 2θ 64.1, intensity 4, hkl 4 2 1; 2θ 69.2, intensity 28, hkl 4 2 2

Structural model:
```
data_Cu2GeBi
_symmetry_space_group_name_H-M 'P m -3 m'
_symmetry_Int_Tables_number 221
_symmetry_space_group_name_Hall '-P 4 2 3'
_cell_length_a 6.6544
_cell_length_b 6.6544
_cell_length_c 6.6544
_cell_angle_alpha 90.00
_cell_angle_beta 90.00
_cell_angle_gamma 90.00
loop_
_atom_site_label
_atom_site_type_symbol
_atom_site_fract_x
_atom_site_fract_y
_atom_site_fract_z
Cu1 Cu 0.2155 0.2155 0.2155
Ge1 Ge 0.0000 0.0000 0.0000
Ge2 Ge 0.0000 0.0000 0.5000
Bi1 Bi 0.0000 0.5000 0.5000
Bi2 Bi 0.5000 0.5000 0.5000
```

=====

[3]
Theoretical powder XRD pattern
Compound: SmAu
Radiation: Cu Kα (λ = 1.5418 Å)
Structure: a structure optimized by DFT (GGA-PBE)

Top 12 peaks for 5° ≤ 2θ ≤ 70°, by angle:
2θ 31.1, intensity 100, hkl 1 1 1; 2θ 32.2, intensity 33, hkl 0 4 0; 2θ 37.6, intensity 27, hkl 0 4 1; 2θ 38.1, intensity 37, hkl 0 0 2; 2θ 38.8, intensity 89, hkl 1 3 1; 2θ 47.5, intensity 20, hkl 2 0 0; 2θ 50.8, intensity 18, hkl 0 4 2; 2θ 62.0, intensity 13, hkl 2 4 1; 2θ 62.4, intensity 18, hkl 2 0 2; 2θ 63.4, intensity 12, hkl 1 7 0; 2θ 64.6, intensity 13, hkl 1 1 3; 2θ 69.4, intensity 16, hkl 1 3 3

Structural model:
```
data_SmAu
_symmetry_space_group_name_H-M 'C m c m'
_symmetry_Int_Tables_number 63
_symmetry_space_group_name_Hall '-C 2c 2'
_cell_length_a 3.8318
_cell_length_b 11.1175
_cell_length_c 4.7179
_cell_angle_alpha 90.00
_cell_angle_beta 90.00
_cell_angle_gamma 90.00
loop_
_atom_site_label
_atom_site_type_symbol
_atom_site_fract_x
_atom_site_fract_y
_atom_site_fract_z
Sm1 Sm 0.0000 0.1378 0.2500
Au1 Au 0.0000 0.4122 0.2500
```

=====

[4]
Theoretical powder XRD pattern
Compound: BaUTe6
Radiation: Cu Kα (λ = 1.5418 Å)
Structure: a structure optimized by DFT (GGA-PBE)

Top 12 peaks for 5° ≤ 2θ ≤ 70°, by angle:
2θ 11.3, intensity 100, hkl 1 1 0; 2θ 11.5, intensity 44, hkl 0 2 0; 2θ 25.6, intensity 53, hkl 2 2 1; 2θ 29.1, intensity 25, hkl 2 0 -2; 2θ 29.5, intensity 52, hkl 1 3 -2; 2θ 29.7, intensity 29, hkl 2 1 -2; 2θ 30.0, intensity 98, hkl 1 3 2; 2θ 30.5, intensity 28, hkl 2 1 2; 2θ 33.8, intensity 30, hkl 1 4 2; 2θ 34.5, intensity 57, hkl 3 3 0; 2θ 35.1, intensity 39, hkl 0 6 0; 2θ 37.5, intensity 24, hkl 2 4 -2

Structural model:
```
data_BaUTe6
_symmetry_space_group_name_H-M 'P 1 21/c 1'
_symmetry_Int_Tables_number 14
_cell_length_a 9.0621
_cell_length_b 15.3509
_cell_length_c 8.1370
_cell_angle_alpha 90.00
_cell_angle_beta 91.66
_cell_angle_gamma 90.00
loop_
_symmetry_equiv_pos_as_xyz
'x,y,z'
'-x,-y,-z'
'-x,y+1/2,-z+1/2'
'x,-y+1/2,z+1/2'
loop_
_atom_site_label
_atom_site_type_symbol
_atom_site_fract_x
_atom_site_fract_y
_atom_site_fract_z
Ba1 Ba 0.2369 0.0907 0.2679
U1 U 0.2726 0.7491 0.6092
Te1 Te 0.0059 0.7381 0.8518
Te2 Te 0.0273 0.6014 0.6077
Te3 Te 0.1746 0.5530 0.1114
Te4 Te 0.3912 0.6076 0.3635
Te5 Te 0.3926 0.1951 0.8779
Te6 Te 0.4164 0.6161 0.8681
```